This entry pairs a crystal structure of Nb6Sn3C with its computed X-ray diffraction stick pattern. Radiation: copper Kα. Structure: DFT lattice parameters and positions (GGA-PBE).

Structural model:
a = 10.010 Å, b = 5.865 Å, c = 7.321 Å
α = 90.00°, β = 112.76°, γ = 90.00°
Space group C2/m (No. 12)
One atom of each set of equivalent atoms:
Nb 0.103 0.246 0.379
Nb 0.183 0.000 0.781
Sn 0.000 0.500 0.000
Sn 0.202 0.500 0.771
C 0.000 0.000 0.500

Principal peaks in the range 2θ from 10° to 90°, sorted by position:
| d/Å | intensity | (hkl) |
| --- | --- | --- |
| 3.647 | 18 | 1 1 1 |
| 2.690 | 46 | 0 2 1 |
| 2.499 | 100 | 4 0 -1 |
| 2.475 | 16 | 2 2 0 |
| 2.426 | 59 | 2 0 -3 |
| 2.329 | 60 | 2 0 2 |
| 2.229 | 70 | 2 2 -2 |
| 2.182 | 53 | 2 2 1 |
| 1.813 | 19 | 4 2 0 |
| 1.463 | 24 | 0 2 4 |
| 1.265 | 17 | 4 4 -1 |
| 1.240 | 29 | 2 4 2 |


This entry pairs a crystal structure of MnNiPSeN with its computed X-ray diffraction stick pattern. Radiation: copper Kα. Structure: DFT lattice parameters and positions (GGA-PBE).

Structural model:
a = 7.581 Å, b = 3.253 Å, c = 6.871 Å
α = 90.00°, β = 118.42°, γ = 90.00°
Space group Cm (No. 8)
One atom of each set of equivalent atoms:
Mn 0.000 0.000 0.000
Ni 0.379 0.000 0.449
P 0.359 0.500 0.217
Se 0.264 0.500 0.629
N 0.107 0.500 0.036

Principal peaks in the range 2θ from 10° to 90°, sorted by position:
| d/Å | intensity | (hkl) |
| --- | --- | --- |
| 3.777 | 33 | 2 0 -1 |
| 3.334 | 39 | 2 0 0 |
| 3.086 | 43 | 2 0 -2 |
| 3.021 | 35 | 0 0 2 |
| 2.924 | 29 | 1 1 0 |
| 2.878 | 100 | 1 1 -1 |
| 2.465 | 66 | 2 0 1 |
| 2.362 | 51 | 1 1 -2 |
| 1.944 | 56 | 3 1 -2 |
| 1.911 | 33 | 1 1 2 |
| 1.849 | 50 | 1 1 -3 |
| 1.717 | 29 | 2 0 -4 |


This entry pairs a crystal structure of KNdIr2O8 with its computed X-ray diffraction stick pattern. Radiation: copper Kα. Structure: DFT lattice parameters and positions (GGA-PBE).

Structural model:
a = 6.0319 Å, b = 6.0319 Å, c = 7.7994 Å
α = 90.00°, β = 90.00°, γ = 120.00°
Space group P-3 (No. 147)
One atom of each set of equivalent atoms:
K 0.0000 0.0000 0.0000
Nd 0.0000 0.0000 0.5000
Ir 0.3333 0.6667 0.7846
O 0.1677 0.3422 0.6929
O 0.3333 0.6667 0.0127

Principal peaks in the range 2θ from 10° to 90°, sorted by position:
| d/Å | intensity | (hkl) |
| --- | --- | --- |
| 4.340 | 100 | 0 1 1 |
| 3.125 | 36 | 1 0 2 |
| 3.016 | 43 | 1 1 0 |
| 2.477 | 12 | 2 0 1 |
| 2.327 | 11 | 0 1 3 |
| 2.170 | 19 | 0 2 2 |
| 1.969 | 9 | 1 1 3 |
| 1.914 | 21 | 1 2 1 |
| 1.762 | 14 | 2 1 2 |
| 1.741 | 9 | 3 0 0 |
| 1.637 | 9 | 1 1 4 |
| 1.424 | 8 | 3 1 1 |


This entry pairs a crystal structure of Li3Nb3TeO12 with its computed X-ray diffraction stick pattern. Radiation: copper Kα. Structure: DFT lattice parameters and positions (GGA-PBE).

Structural model:
a = 5.206 Å, b = 5.529 Å, c = 7.627 Å
α = 85.65°, β = 89.77°, γ = 89.74°
Space group P1 (No. 1)
One atom of each set of equivalent atoms:
Li 0.000 0.000 0.000
Li 0.010 0.016 0.503
Li 0.509 0.510 0.493
Nb 0.005 0.573 0.279
Nb 0.505 0.075 0.278
Nb 0.999 0.583 0.783
Te 0.508 0.094 0.786
O 0.105 0.615 0.041
O 0.204 0.294 0.359
O 0.205 0.915 0.734
O 0.315 0.797 0.362
O 0.322 0.402 0.730
O 0.380 0.098 0.032
O 0.636 0.119 0.549
O 0.690 0.411 0.258
O 0.717 0.817 0.859
O 0.807 0.287 0.859
O 0.829 0.925 0.243
O 0.886 0.623 0.548

Principal peaks in the range 2θ from 10° to 90°, sorted by position:
| d/Å | intensity | (hkl) |
| --- | --- | --- |
| 3.798 | 100 | 1 1 0 |
| 3.777 | 50 | 1 -1 0 |
| 2.759 | 35 | 1 1 2 |
| 2.748 | 17 | -1 1 2 |
| 2.615 | 23 | 1 -1 2 |
| 2.603 | 11 | 2 0 0 |
| 2.154 | 12 | 2 0 2 |
| 1.901 | 9 | 0 0 4 |
| 1.889 | 9 | 2 -2 0 |
| 1.737 | 13 | 2 2 2 |
| 1.734 | 13 | -1 1 4 |
| 1.505 | 10 | 3 -1 2 |


This entry pairs a crystal structure of SnH2S2 with its computed X-ray diffraction stick pattern. Radiation: copper Kα. Structure: DFT lattice parameters and positions (GGA-PBE).

Structural model:
a = 4.302 Å, b = 6.410 Å, c = 7.454 Å
α = 94.02°, β = 98.23°, γ = 90.68°
Space group P-1 (No. 2)
One atom of each set of equivalent atoms:
Sn 0.201 0.222 0.105
H 0.190 0.981 0.644
H 0.223 0.669 0.325
S 0.195 0.770 0.649
S 0.309 0.628 0.157

Principal peaks in the range 2θ from 10° to 90°, sorted by position:
| d/Å | intensity | (hkl) |
| --- | --- | --- |
| 7.358 | 100 | 0 0 1 |
| 5.009 | 31 | 0 1 -1 |
| 4.661 | 27 | 0 1 1 |
| 3.939 | 21 | 1 0 -1 |
| 3.196 | 37 | 0 2 0 |
| 3.121 | 39 | 1 -1 1 |
| 3.006 | 48 | 1 0 -2 |
| 2.987 | 19 | 1 1 1 |
| 2.857 | 23 | 0 2 1 |
| 2.604 | 25 | 1 0 2 |
| 2.238 | 19 | 1 2 -2 |
| 2.019 | 21 | -2 1 1 |


This entry pairs a crystal structure of KY4Ga3O12 with its computed X-ray diffraction stick pattern. Radiation: copper Kα. Structure: DFT lattice parameters and positions (GGA-PBE).

Structural model:
a = 8.240 Å, b = 8.240 Å, c = 8.240 Å
α = 90.00°, β = 90.00°, γ = 90.00°
Space group Im-3 (No. 204)
One atom of each set of equivalent atoms:
K 0.000 0.000 0.000
Y 0.250 0.250 0.250
Ga 0.000 0.000 0.500
O 0.000 0.331 0.159

Principal peaks in the range 2θ from 10° to 90°, sorted by position:
| d/Å | intensity | (hkl) |
| --- | --- | --- |
| 5.826 | 3 | 1 1 0 |
| 4.120 | 4 | 2 0 0 |
| 3.364 | 3 | 2 1 1 |
| 2.913 | 100 | 2 2 0 |
| 2.606 | 4 | 3 0 1 |
| 2.060 | 21 | 4 0 0 |
| 1.842 | 3 | 4 2 0 |
| 1.682 | 50 | 4 2 2 |
| 1.457 | 12 | 4 4 0 |
| 1.303 | 18 | 6 0 2 |
| 1.189 | 5 | 4 4 4 |
| 1.101 | 19 | 6 2 4 |


This entry pairs a crystal structure of La6Y with its computed X-ray diffraction stick pattern. Radiation: copper Kα. Structure: DFT lattice parameters and positions (GGA-PBE).

Structural model:
a = 8.190 Å, b = 8.190 Å, c = 8.190 Å
α = 90.00°, β = 90.00°, γ = 90.00°
Space group Im-3m (No. 229)
One atom of each set of equivalent atoms:
La 0.000 0.250 0.500
Y 0.000 0.000 0.000

Principal peaks in the range 2θ from 10° to 90°, sorted by position:
| d/Å | intensity | (hkl) |
| --- | --- | --- |
| 5.791 | 46 | 1 1 0 |
| 4.095 | 42 | 2 0 0 |
| 3.344 | 100 | 2 1 1 |
| 2.364 | 52 | 2 2 2 |
| 2.189 | 62 | 3 2 1 |
| 2.048 | 39 | 4 0 0 |
| 1.831 | 18 | 4 2 0 |
| 1.746 | 15 | 3 3 2 |
| 1.495 | 18 | 5 2 1 |
| 1.448 | 26 | 4 4 0 |
| 1.329 | 18 | 6 1 1 |
| 1.235 | 20 | 6 2 2 |


This entry pairs a crystal structure of Cs4Rb3CuH8 with its computed X-ray diffraction stick pattern. Radiation: copper Kα. Structure: DFT lattice parameters and positions (GGA-PBE).

Structural model:
a = 15.611 Å, b = 8.110 Å, c = 8.274 Å
α = 90.00°, β = 121.13°, γ = 90.00°
Space group C2/m (No. 12)
One atom of each set of equivalent atoms:
Cs 0.000 0.000 0.000
Cs 0.000 0.500 0.000
Cs 0.250 0.250 0.500
Rb 0.000 0.000 0.500
Rb 0.250 0.250 0.000
Cu 0.000 0.500 0.500
H 0.001 0.344 0.347
H 0.210 0.000 0.195
H 0.244 0.000 0.758

Principal peaks in the range 2θ from 10° to 90°, sorted by position:
| d/Å | intensity | (hkl) |
| --- | --- | --- |
| 3.541 | 53 | 0 0 2 |
| 3.493 | 51 | 4 0 -2 |
| 3.467 | 100 | 2 2 0 |
| 3.340 | 48 | 4 0 0 |
| 2.896 | 65 | 2 2 -2 |
| 2.200 | 29 | 2 2 2 |
| 2.177 | 28 | 6 2 -2 |
| 1.951 | 29 | 6 2 0 |
| 1.782 | 15 | 2 2 -4 |
| 1.770 | 22 | 0 0 4 |
| 1.760 | 14 | 0 4 2 |
| 1.754 | 14 | 4 4 -2 |